Hf5Nb2Sn5: theoretical powder XRD pattern (a wavelength of 1.5418 Å), based on a PBE-relaxed structure.
Lines closer than 0.1° are merged.

Structural model:
```
Hf5Nb2Sn5
1.0
7.081 -1.922 0.000
7.081 1.922 0.000
-4.955 0.000 9.446
Hf Nb Sn
5 2 5
Direct
0.000 0.000 0.000
0.104 0.104 0.754
0.160 0.160 0.490
0.840 0.840 0.510
0.896 0.896 0.246
0.435 0.435 0.753
0.565 0.565 0.247
0.232 0.232 0.264
0.341 0.341 0.000
0.500 0.500 0.500
0.659 0.659 0.000
0.768 0.768 0.736
```

Peak list (8 most intense, 10 to 80 degrees two-theta, by angle)
2θ/deg	I_rel
35.36	100
35.88	97
38.12	76
47.30	24
54.27	12
62.30	37
66.78	23
67.77	24

HfNb3Sn: theoretical powder XRD pattern (a wavelength of 1.5418 Å), based on a PBE-relaxed structure.
Lines closer than 0.1° are merged.

Structural model:
```
HfNb3Sn
1.0
5.475 0.000 0.000
0.000 5.638 0.000
-0.036 0.000 6.767
Hf Nb Sn
2 6 2
Direct
0.127 0.250 0.133
0.873 0.750 0.867
0.378 0.750 0.019
0.391 0.504 0.680
0.391 0.996 0.680
0.609 0.004 0.320
0.609 0.496 0.320
0.622 0.250 0.981
0.082 0.750 0.370
0.918 0.250 0.630
```

Peak list (8 most intense, 10 to 80 degrees two-theta, by angle)
2θ/deg	I_rel
30.82	83
34.47	37
34.93	83
35.30	37
35.44	70
35.83	72
38.32	100
38.86	67

Hf3NbSn4: theoretical powder XRD pattern (a wavelength of 1.5418 Å), based on a PBE-relaxed structure.
Lines closer than 0.1° are merged.

Structural model:
```
Hf3NbSn4
1.0
5.653 0.000 0.000
0.000 9.687 0.000
0.000 0.000 8.676
Hf Nb Sn
6 2 8
Direct
0.250 0.002 0.165
0.250 0.250 0.669
0.250 0.498 0.165
0.750 0.502 0.835
0.750 0.750 0.331
0.750 0.998 0.835
0.250 0.750 0.662
0.750 0.250 0.338
0.250 0.250 0.342
0.250 0.508 0.835
0.250 0.750 0.339
0.250 0.992 0.835
0.750 0.008 0.165
0.750 0.250 0.661
0.750 0.492 0.165
0.750 0.750 0.658
```

Peak list (8 most intense, 10 to 80 degrees two-theta, by angle)
2θ/deg	I_rel
20.47	45
21.01	100
31.65	69
36.17	97
37.12	45
38.30	44
48.82	83
49.56	40

HfTa14Nb: theoretical powder XRD pattern (a wavelength of 1.5418 Å), based on a PBE-relaxed structure.
Lines closer than 0.1° are merged.

Structural model:
```
HfTa14Nb
1.0
3.336 -4.717 0.000
3.336 4.717 0.000
0.000 0.000 9.414
Hf Ta Nb
1 14 1
Direct
0.000 0.000 0.000
0.000 0.000 0.500
0.000 0.500 0.000
0.000 0.500 0.500
0.246 0.754 0.250
0.246 0.754 0.750
0.258 0.258 0.254
0.258 0.258 0.746
0.500 0.000 0.000
0.500 0.000 0.500
0.500 0.500 0.500
0.742 0.742 0.254
0.742 0.742 0.746
0.754 0.246 0.250
0.754 0.246 0.750
0.500 0.500 0.000
```

Peak list (4 most intense, 10 to 80 degrees two-theta, by angle)
2θ/deg	I_rel
38.18	100
55.11	17
68.98	24
69.09	12

HfTa3Nb: theoretical powder XRD pattern (a wavelength of 1.5418 Å), based on a PBE-relaxed structure.
Lines closer than 0.1° are merged.

Structural model:
```
HfTa3Nb
1.0
2.362 -8.485 0.000
2.362 8.485 0.000
0.000 0.000 4.724
Hf Ta Nb
2 6 2
Direct
0.053 0.947 0.750
0.947 0.053 0.250
0.155 0.845 0.250
0.345 0.655 0.250
0.446 0.554 0.750
0.554 0.446 0.250
0.655 0.345 0.750
0.845 0.155 0.750
0.249 0.751 0.750
0.751 0.249 0.250
```

Peak list (8 most intense, 10 to 80 degrees two-theta, by angle)
2θ/deg	I_rel
27.21	2
31.09	4
37.79	100
38.10	50
54.04	9
54.97	17
68.02	17
68.64	35

HfTa4Nb4: theoretical powder XRD pattern (a wavelength of 1.5418 Å), based on a PBE-relaxed structure.
Lines closer than 0.1° are merged.

Structural model:
```
HfTa4Nb4
1.0
5.911 0.000 0.000
0.000 5.911 0.000
0.000 0.000 10.503
Hf Ta Nb
2 8 8
Direct
0.250 0.750 0.250
0.750 0.250 0.750
0.028 0.250 0.182
0.250 0.028 0.682
0.250 0.472 0.682
0.472 0.250 0.182
0.528 0.750 0.818
0.750 0.528 0.318
0.750 0.972 0.318
0.972 0.750 0.818
0.006 0.250 0.481
0.250 0.006 0.981
0.250 0.494 0.981
0.494 0.250 0.481
0.506 0.750 0.519
0.750 0.506 0.019
0.750 0.994 0.019
0.994 0.750 0.519
```

Peak list (8 most intense, 10 to 80 degrees two-theta, by angle)
2θ/deg	I_rel
22.65	30
35.00	87
37.48	30
39.92	100
43.29	29
62.89	18
70.13	19
77.13	24

HfNb4Te8: theoretical powder XRD pattern (a wavelength of 1.5418 Å), based on a PBE-relaxed structure.
Lines closer than 0.1° are merged.

Structural model:
```
HfNb4Te8
1.0
3.796 2.191 6.965
-3.796 2.191 6.965
0.000 -4.383 6.965
Hf Nb Te
1 4 8
Direct
0.000 0.000 0.000
0.000 0.000 0.500
0.000 0.500 0.000
0.500 0.000 0.000
0.500 0.500 0.500
0.252 0.252 0.252
0.253 0.253 0.735
0.253 0.735 0.253
0.265 0.747 0.747
0.735 0.253 0.253
0.747 0.265 0.747
0.747 0.747 0.265
0.748 0.748 0.748
```

Peak list (8 most intense, 10 to 80 degrees two-theta, by angle)
2θ/deg	I_rel
28.47	11
32.17	100
44.29	40
47.93	32
58.91	17
67.31	11
73.86	17
79.26	14

Hf2NbTe6: theoretical powder XRD pattern (a wavelength of 1.5418 Å), based on a PBE-relaxed structure.
Lines closer than 0.1° are merged.

Structural model:
```
Hf2NbTe6
1.0
7.006 0.000 0.000
0.000 7.289 0.000
-6.501 0.000 9.546
Hf Nb Te
4 2 12
Direct
0.204 0.157 0.249
0.204 0.343 0.749
0.796 0.657 0.251
0.796 0.843 0.751
0.000 0.000 0.500
0.000 0.500 0.000
0.088 0.158 0.926
0.088 0.342 0.426
0.278 0.673 0.928
0.278 0.827 0.428
0.426 0.014 0.758
0.426 0.486 0.258
0.574 0.514 0.742
0.574 0.986 0.242
0.722 0.173 0.572
0.722 0.327 0.072
0.912 0.658 0.574
0.912 0.842 0.074
```

Peak list (8 most intense, 10 to 80 degrees two-theta, by angle)
2θ/deg	I_rel
29.39	65
30.25	100
32.69	47
33.30	26
33.87	60
37.52	57
39.26	83
44.09	33

HfTi8Nb2: theoretical powder XRD pattern (a wavelength of 1.5418 Å), based on a PBE-relaxed structure.
Lines closer than 0.1° are merged.

Structural model:
```
HfTi8Nb2
1.0
0.000 3.926 9.766
2.897 0.000 9.766
2.897 3.926 0.000
Hf Ti Nb
1 8 2
Direct
0.000 0.000 0.000
0.129 0.129 0.871
0.169 0.169 0.331
0.331 0.331 0.169
0.419 0.419 0.581
0.581 0.581 0.419
0.669 0.669 0.831
0.831 0.831 0.669
0.871 0.871 0.129
0.270 0.270 0.730
0.730 0.730 0.270
```

Peak list (8 most intense, 10 to 80 degrees two-theta, by angle)
2θ/deg	I_rel
19.58	36
22.65	49
23.47	37
29.19	33
37.57	92
38.62	100
46.25	29
50.33	39

HfTiNb: theoretical powder XRD pattern (a wavelength of 1.5418 Å), based on a PBE-relaxed structure.
Lines closer than 0.1° are merged.

Structural model:
```
HfTiNb
1.0
4.727 0.000 0.000
-2.364 4.094 0.000
0.000 0.000 2.981
Hf Ti Nb
1 1 1
Direct
0.000 0.000 0.000
0.667 0.333 0.564
0.333 0.667 0.410
```

Peak list (8 most intense, 10 to 80 degrees two-theta, by angle)
2θ/deg	I_rel
21.71	39
37.32	100
38.07	78
54.37	34
66.80	9
68.30	34
68.79	13
75.40	13

Hf2NbTl: theoretical powder XRD pattern (a wavelength of 1.5418 Å), based on a PBE-relaxed structure.
Lines closer than 0.1° are merged.

Structural model:
```
Hf2NbTl
1.0
-3.150 3.733 3.609
3.150 -3.733 3.609
3.150 3.733 -3.609
Hf Nb Tl
4 2 2
Direct
0.000 0.000 0.000
0.000 0.500 0.500
0.101 0.056 0.545
0.512 0.556 0.455
0.604 0.104 0.500
0.604 0.604 0.000
0.098 0.552 0.046
0.507 0.052 0.954
```

Peak list (8 most intense, 10 to 80 degrees two-theta, by angle)
2θ/deg	I_rel
33.27	33
34.57	100
37.35	99
37.91	96
38.26	38
39.34	28
61.12	36
69.86	26

Hf3NbV8: theoretical powder XRD pattern (a wavelength of 1.5418 Å), based on a PBE-relaxed structure.
Lines closer than 0.1° are merged.

Structural model:
```
Hf3NbV8
1.0
2.563 1.480 8.455
-2.563 1.480 8.455
0.000 -2.960 8.455
Hf Nb V
3 1 8
Direct
0.000 0.000 0.000
0.126 0.126 0.126
0.624 0.624 0.624
0.500 0.500 0.500
0.062 0.062 0.559
0.062 0.559 0.062
0.066 0.563 0.563
0.312 0.312 0.312
0.559 0.062 0.062
0.563 0.066 0.563
0.563 0.563 0.066
0.813 0.813 0.813
```

Peak list (8 most intense, 10 to 80 degrees two-theta, by angle)
2θ/deg	I_rel
21.20	39
34.77	75
35.01	74
40.98	51
41.18	100
41.29	50
62.63	28
66.85	23